This entry pairs a crystal structure of Tm7PtI12 with its calculated powder diffraction line list. Radiation: a wavelength of 1.5418 Å. Structure: a crystal structure in Alexandria, relaxed with PBE.
Neutral-atom scattering factors, no anomalous dispersion.

```
Tm7PtI12
1.0
7.8046 4.5060 3.5503
-7.8046 4.5060 3.5503
0.0000 -9.0120 3.5503
Tm Pt I
7 1 12
Direct
0.0000 0.0000 0.0000 Tm
0.1986 0.4693 0.3997 Tm
0.3997 0.1986 0.4693 Tm
0.4693 0.3997 0.1986 Tm
0.5307 0.6003 0.8014 Tm
0.6003 0.8014 0.5307 Tm
0.8014 0.5307 0.6003 Tm
0.5000 0.5000 0.5000 Pt
0.0315 0.1090 0.3400 I
0.1090 0.3400 0.0315 I
0.1764 0.5734 0.7229 I
0.2771 0.8236 0.4266 I
0.3400 0.0315 0.1090 I
0.4266 0.2771 0.8236 I
0.5734 0.7229 0.1764 I
0.6600 0.9685 0.8910 I
0.7229 0.1764 0.5734 I
0.8236 0.4266 0.2771 I
0.8910 0.6600 0.9685 I
0.9685 0.8910 0.6600 I
```

Largest 10 diffraction maxima, low angle first, 10 to 90 degrees two-theta:
- 10.57°, 8.366 Å, rel. 17
- 11.34°, 7.805 Å, rel. 39
- 25.16°, 3.539 Å, rel. 11
- 29.13°, 3.066 Å, rel. 100
- 41.60°, 2.171 Å, rel. 36
- 41.73°, 2.165 Å, rel. 35
- 51.69°, 1.768 Å, rel. 17
- 68.34°, 1.373 Å, rel. 12
- 68.52°, 1.369 Å, rel. 13
- 76.12°, 1.251 Å, rel. 13